# Fe3Ir7Rh2
Calculated X-ray powder pattern, CuKα. Input: the GGA-PBE geometry in Alexandria.

Top 10 peaks for 10° ≤ 2θ ≤ 90°, by angle:
- 2θ 19.8, intensity 53
- 2θ 33.5, intensity 40
- 2θ 39.0, intensity 45
- 2θ 39.5, intensity 38
- 2θ 40.3, intensity 77
- 2θ 41.0, intensity 51
- 2θ 41.8, intensity 54
- 2θ 45.0, intensity 36
- 2θ 45.3, intensity 100
- 2θ 49.1, intensity 42

Structure:
```
12
Lattice="4.6792 0.0000 0.0000 0.0000 2.7279 0.0000 -2.1745 0.0000 13.4354" Properties=species:S:1:pos:R:3 pbc="T T T"
Fe 0.0000 0.0000 0.0000
Fe 0.1376 1.3639 9.2160
Fe 2.3670 1.3639 4.2195
Ir 0.7634 1.3639 2.2006
Ir -0.6508 0.0000 11.2654
Ir 0.0863 0.0000 7.1760
Ir 2.3396 1.3639 0.0000
Ir 2.4183 0.0000 6.2594
Ir 3.1555 0.0000 2.1701
Ir 1.7412 1.3639 11.2349
Rh 0.0533 0.0000 4.4837
Rh 2.4514 0.0000 8.9517
```



# Fe3Ir3Rh5
Calculated X-ray powder pattern, CuKα. Input: the GGA-PBE geometry in Alexandria.

Top 10 peaks for 10° ≤ 2θ ≤ 90°, by angle:
- 2θ 21.4, intensity 23
- 2θ 32.9, intensity 21
- 2θ 37.5, intensity 70
- 2θ 40.3, intensity 100
- 2θ 42.3, intensity 27
- 2θ 45.4, intensity 60
- 2θ 47.9, intensity 29
- 2θ 56.2, intensity 32
- 2θ 66.7, intensity 22
- 2θ 88.5, intensity 18

Structure:
```
11
Lattice="8.3089 0.0000 0.0000 -4.1544 7.1957 0.0000 0.0000 0.0000 2.6547" Properties=species:S:1:pos:R:3 pbc="T T T"
Fe -3.5154 6.0889 0.0000
Fe 0.6390 1.1068 0.0000
Fe 7.0308 0.0000 0.0000
Ir -2.4894 4.3118 1.3273
Ir 1.6650 2.8839 1.3273
Ir 4.9788 0.0000 1.3273
Rh -1.3756 2.3827 0.0000
Rh 2.7513 0.0000 0.0000
Rh 0.0000 4.7971 0.0000
Rh 4.1544 2.3986 0.0000
Rh 2.7788 4.8130 0.0000
```



# Fe3Ir3Rh2
Calculated X-ray powder pattern, CuKα. Input: the GGA-PBE geometry in Alexandria.

Top 10 peaks for 10° ≤ 2θ ≤ 90°, by angle:
- 2θ 23.4, intensity 10
- 2θ 41.3, intensity 100
- 2θ 47.7, intensity 17
- 2θ 47.9, intensity 16
- 2θ 48.7, intensity 15
- 2θ 69.9, intensity 10
- 2θ 84.4, intensity 13
- 2θ 84.8, intensity 12
- 2θ 86.0, intensity 12
- 2θ 89.8, intensity 11

Structure:
```
8
Lattice="3.7972 0.0000 0.0000 0.0000 3.8131 0.0000 0.0000 0.0000 7.4779" Properties=species:S:1:pos:R:3 pbc="T T T"
Fe 0.0000 0.0000 0.0000
Fe 0.0000 0.0000 3.7389
Fe 1.8986 1.9066 0.0000
Ir 1.8986 0.0000 1.8190
Ir 1.8986 0.0000 5.6589
Ir 1.8986 1.9066 3.7389
Rh 0.0000 1.9066 1.8358
Rh 0.0000 1.9066 5.6421
```



# Fe3Ir2Rh2
Calculated X-ray powder pattern, CuKα. Input: the GGA-PBE geometry in Alexandria.

Top 10 peaks for 10° ≤ 2θ ≤ 90°, by angle:
- 2θ 13.0, intensity 29
- 2θ 30.3, intensity 77
- 2θ 43.3, intensity 100
- 2θ 43.5, intensity 99
- 2θ 53.9, intensity 16
- 2θ 63.1, intensity 32
- 2θ 71.5, intensity 14
- 2θ 79.4, intensity 16
- 2θ 79.7, intensity 32
- 2θ 79.8, intensity 16

Structure:
```
7
Lattice="2.0806 1.2012 6.8325 -2.0806 1.2012 6.8325 0.0000 -2.4025 6.8325" Properties=species:S:1:pos:R:3 pbc="T T T"
Fe 0.0000 0.0000 0.0000
Fe 0.0000 0.0000 5.0636
Fe 0.0000 0.0000 15.4341
Ir 0.0000 0.0000 7.6968
Ir 0.0000 0.0000 12.8009
Rh 0.0000 0.0000 2.5915
Rh 0.0000 0.0000 17.9062
```



# FeIr6Rh12
Calculated X-ray powder pattern, CuKα. Input: the GGA-PBE geometry in Alexandria.

Top 10 peaks for 10° ≤ 2θ ≤ 90°, by angle:
- 2θ 13.8, intensity 26
- 2θ 32.9, intensity 26
- 2θ 41.0, intensity 33
- 2θ 41.3, intensity 100
- 2θ 42.4, intensity 55
- 2θ 44.7, intensity 22
- 2θ 44.9, intensity 53
- 2θ 46.0, intensity 23
- 2θ 48.4, intensity 17
- 2θ 74.4, intensity 12

Structure:
```
19
Lattice="5.2053 3.0053 3.0259 -5.2053 3.0053 3.0259 0.0000 -6.0106 3.0259" Properties=species:S:1:pos:R:3 pbc="T T T"
Fe 0.0000 0.0000 0.0000
Ir 0.0000 -3.5146 2.6482
Ir -3.0437 1.7573 2.6482
Ir -3.0437 -1.7573 6.4295
Ir 3.0437 1.7573 2.6482
Ir 3.0437 -1.7573 6.4295
Ir 0.0000 3.5146 6.4295
Rh -1.3199 -0.7620 2.3124
Rh -1.3058 -2.2617 4.5388
Rh -2.6115 0.0000 4.5388
Rh 1.3199 -0.7620 2.3124
Rh 0.0000 1.5241 2.3124
Rh 1.3058 -2.2617 4.5388
Rh -1.3058 2.2617 4.5388
Rh 0.0000 -1.5241 6.7652
Rh -1.3199 0.7620 6.7652
Rh 2.6115 0.0000 4.5388
Rh 1.3058 2.2617 4.5388
Rh 1.3199 0.7620 6.7652
```



# FeIrRh5
Calculated X-ray powder pattern, CuKα. Input: the GGA-PBE geometry in Alexandria.

Top 10 peaks for 10° ≤ 2θ ≤ 90°, by angle:
- 2θ 16.2, intensity 11
- 2θ 23.0, intensity 63
- 2θ 32.7, intensity 94
- 2θ 43.6, intensity 30
- 2θ 47.1, intensity 100
- 2θ 55.7, intensity 15
- 2θ 68.8, intensity 15
- 2θ 75.8, intensity 19
- 2θ 77.9, intensity 9
- 2θ 85.1, intensity 9

Structure:
```
14
Lattice="7.7190 0.0000 0.0000 0.0000 7.7190 0.0000 0.0000 0.0000 4.4853" Properties=species:S:1:pos:R:3 pbc="T T T"
Fe 0.0000 0.0000 0.0000
Fe 3.8595 3.8595 2.2427
Ir 0.0000 3.8595 1.1213
Ir 3.8595 0.0000 3.3640
Rh 0.0000 0.0000 2.2427
Rh 0.0000 2.1749 3.5791
Rh 0.0000 5.5441 3.5791
Rh 1.6846 3.8595 3.1488
Rh 2.1749 0.0000 0.9062
Rh 3.8595 1.6846 1.3365
Rh 3.8595 3.8595 0.0000
Rh 3.8595 6.0344 1.3365
Rh 5.5441 0.0000 0.9062
Rh 6.0344 3.8595 3.1488
```